Entry 1:
Starting from a cell relaxed with GGA-PBE, the X-ray diffraction stick pattern of Na4CdAg2 was simulated for Cu Kα (weighted mean of Kα1 and Kα2).
Lines closer than 0.1° are merged.

Crystal structure
```
Na4CdAg2
1.0
10.8018 0.0000 0.0000
0.0000 10.8018 0.0000
0.0000 0.0000 3.0616
Na Cd Ag
8 2 4
direct
0.0802 0.2964 0.0000
0.2036 0.5802 0.5000
0.2964 0.0802 0.0000
0.4198 0.7964 0.5000
0.5802 0.2036 0.5000
0.7036 0.9198 0.0000
0.7964 0.4198 0.5000
0.9198 0.7036 0.0000
0.0000 0.0000 0.5000
0.5000 0.5000 0.0000
0.1651 0.8349 0.0000
0.3349 0.3349 0.5000
0.6651 0.6651 0.5000
0.8349 0.1651 0.0000
```

Top 6 peaks for 2θ from 5° to 70°, sorted by position:
2theta, I_rel
11.59, 100.0
18.37, 67.5
34.23, 36.5
34.69, 61.5
35.25, 38.2
38.60, 44.8

=====

Entry 2:
Starting from a cell relaxed with GGA-PBE, the X-ray diffraction stick pattern of PrSmGeS was simulated for Cu Kα (weighted mean of Kα1 and Kα2).
Lines closer than 0.1° are merged.

Crystal structure
```
PrSmGeS
1.0
2.0918 1.2077 6.8683
-2.0918 1.2077 6.8683
0.0000 -2.4154 6.8683
Pr Sm Ge S
1 1 1 1
direct
0.0000 0.0000 0.0000
0.5012 0.5012 0.5012
0.7523 0.7523 0.7523
0.2484 0.2484 0.2484
```

Top 6 peaks for 2θ from 5° to 70°, sorted by position:
2theta, I_rel
26.07, 29.6
30.16, 100.0
43.09, 37.2
43.25, 36.9
51.15, 14.8
53.63, 19.5

=====

Entry 3:
Starting from a cell relaxed with GGA-PBE, the X-ray diffraction stick pattern of CeSn2Se4 was simulated for Cu Kα (weighted mean of Kα1 and Kα2).
Lines closer than 0.1° are merged.

Crystal structure
```
CeSn2Se4
1.0
2.0356 -7.0306 0.0000
2.0356 7.0306 0.0000
0.0000 0.0000 13.7903
Ce Sn Se
2 4 8
direct
0.1165 0.8835 0.7500
0.8835 0.1165 0.2500
0.3694 0.6306 0.5655
0.3694 0.6306 0.9345
0.6306 0.3694 0.0655
0.6306 0.3694 0.4345
0.0000 0.0000 0.0000
0.0000 0.0000 0.5000
0.2849 0.7151 0.1258
0.2849 0.7151 0.3742
0.4721 0.5279 0.7500
0.5279 0.4721 0.2500
0.7151 0.2849 0.6258
0.7151 0.2849 0.8742
```

Top 6 peaks for 2θ from 5° to 70°, sorted by position:
2theta, I_rel
23.12, 74.3
28.84, 50.8
29.78, 86.4
31.88, 100.0
40.00, 59.9
43.34, 47.8

=====

Entry 4:
Starting from a cell relaxed with GGA-PBE, the X-ray diffraction stick pattern of K2HgC4N4 was simulated for Cu Kα (weighted mean of Kα1 and Kα2).
Lines closer than 0.1° are merged.

Crystal structure
```
K2HgC4N4
1.0
0.0000 6.5109 6.5109
6.5109 0.0000 6.5109
6.5109 6.5109 0.0000
K Hg C N
4 2 8 8
direct
0.0000 0.0000 0.0000
0.0000 0.0000 0.5000
0.0000 0.5000 0.0000
0.5000 0.0000 0.0000
0.3750 0.3750 0.3750
0.6250 0.6250 0.6250
0.2771 0.2771 0.2771
0.2771 0.2771 0.6686
0.2771 0.6686 0.2771
0.3314 0.7229 0.7229
0.6686 0.2771 0.2771
0.7229 0.3314 0.7229
0.7229 0.7229 0.3314
0.7229 0.7229 0.7229
0.1753 0.7749 0.7749
0.2251 0.2251 0.2251
0.2251 0.2251 0.8247
0.2251 0.8247 0.2251
0.7749 0.1753 0.7749
0.7749 0.7749 0.1753
0.7749 0.7749 0.7749
0.8247 0.2251 0.2251
```

Top 6 peaks for 2θ from 5° to 70°, sorted by position:
2theta, I_rel
11.77, 37.6
19.28, 96.3
22.65, 100.0
33.72, 40.8
35.83, 42.3
39.13, 42.2

=====

Entry 5:
Starting from a cell relaxed with GGA-PBE, the X-ray diffraction stick pattern of Os5Rh3 was simulated for Cu Kα (weighted mean of Kα1 and Kα2).
Lines closer than 0.1° are merged.

Crystal structure
```
Os5Rh3
1.0
3.8283 -3.8746 0.0000
3.8283 3.8746 0.0000
0.0000 0.0000 3.8401
Os Rh
5 3
direct
0.0000 0.0000 0.0000
0.0000 0.5000 0.0000
0.2479 0.7521 0.5000
0.5000 0.0000 0.0000
0.7521 0.2479 0.5000
0.2495 0.2495 0.5000
0.5000 0.5000 0.0000
0.7505 0.7505 0.5000
```

Top 6 peaks for 2θ from 5° to 70°, sorted by position:
2theta, I_rel
40.61, 100.0
46.90, 16.6
47.34, 16.2
47.50, 16.0
68.85, 10.6
68.97, 10.5

=====

Entry 6:
Starting from a cell relaxed with GGA-PBE, the X-ray diffraction stick pattern of NdDy5In was simulated for Cu Kα (weighted mean of Kα1 and Kα2).
Lines closer than 0.1° are merged.

Crystal structure
```
NdDy5In
1.0
-3.1339 3.2550 5.4961
3.1339 -3.2550 5.4961
3.1339 3.2550 -5.4961
Nd Dy In
1 5 1
direct
0.0000 0.0000 0.0000
0.3447 0.1010 0.7563
0.3447 0.5884 0.2437
0.3887 0.6223 0.7664
0.8560 0.6223 0.2336
0.8696 0.3696 0.5000
0.5957 0.0957 0.5000
```

Top 6 peaks for 2θ from 5° to 70°, sorted by position:
2theta, I_rel
28.21, 29.8
32.00, 100.0
32.58, 25.3
32.74, 58.7
32.90, 37.6
52.75, 26.0

=====

Entry 7:
Starting from a cell relaxed with GGA-PBE, the X-ray diffraction stick pattern of Mg3SnAu was simulated for Cu Kα (weighted mean of Kα1 and Kα2).
Lines closer than 0.1° are merged.

Crystal structure
```
Mg3SnAu
1.0
9.0174 0.0000 0.0000
0.0000 7.8205 0.0000
0.0000 0.0000 3.1449
Mg Sn Au
6 2 2
direct
0.0482 0.2083 0.0000
0.2500 0.5669 0.9994
0.4518 0.2083 0.0000
0.5482 0.7917 0.0000
0.7500 0.4331 0.9994
0.9518 0.7917 0.0000
0.2500 0.9446 0.5029
0.7500 0.0554 0.5029
0.0000 0.5000 0.5002
0.5000 0.5000 0.5002
```

Top 6 peaks for 2θ from 5° to 70°, sorted by position:
2theta, I_rel
11.31, 18.1
22.76, 100.0
36.68, 93.0
39.97, 31.2
49.74, 22.0
55.37, 17.5

=====

Entry 8:
Starting from a cell relaxed with GGA-PBE, the X-ray diffraction stick pattern of KVH was simulated for Cu Kα (weighted mean of Kα1 and Kα2).
Lines closer than 0.1° are merged.

Crystal structure
```
KVH
1.0
11.4601 0.0000 0.0000
0.0000 1.6535 2.8546
0.0000 -1.6535 2.8546
K V H
2 2 2
direct
0.1543 0.0000 0.0000
0.8457 0.0000 0.0000
0.4189 0.6564 0.6564
0.5811 0.6564 0.6564
0.0000 0.6659 0.6659
0.5000 0.9899 0.9899
```

Top 6 peaks for 2θ from 5° to 70°, sorted by position:
2theta, I_rel
7.71, 64.8
31.24, 36.4
32.27, 100.0
35.07, 30.9
39.35, 32.0
58.07, 26.8

=====

Entry 9:
Starting from a cell relaxed with GGA-PBE, the X-ray diffraction stick pattern of Ca6Bi3H2 was simulated for Cu Kα (weighted mean of Kα1 and Kα2).
Lines closer than 0.1° are merged.

Crystal structure
```
Ca6Bi3H2
1.0
-2.4380 2.4380 12.7040
2.4380 -2.4380 12.7040
2.4380 2.4380 -12.7040
Ca Bi H
6 3 2
direct
0.0831 0.5831 0.5000
0.1980 0.1980 0.0000
0.4169 0.9169 0.5000
0.5831 0.0831 0.5000
0.8020 0.8020 0.0000
0.9169 0.4169 0.5000
0.3252 0.3252 0.0000
0.5000 0.5000 0.0000
0.6748 0.6748 0.0000
0.0998 0.0998 0.0000
0.9002 0.9002 0.0000
```

Top 6 peaks for 2θ from 5° to 70°, sorted by position:
2theta, I_rel
18.53, 85.6
20.99, 32.8
25.31, 53.7
25.84, 43.0
33.52, 100.0
36.86, 50.5

=====

Entry 10:
Starting from a cell relaxed with GGA-PBE, the X-ray diffraction stick pattern of BiSbTe was simulated for Cu Kα (weighted mean of Kα1 and Kα2).
Lines closer than 0.1° are merged.

Crystal structure
```
BiSbTe
1.0
8.3952 0.0000 0.0000
0.0000 4.2995 0.0000
0.0000 0.0000 11.3993
Bi Sb Te
4 4 4
direct
0.1548 0.2500 0.2319
0.3452 0.7500 0.7319
0.6548 0.2500 0.2681
0.8452 0.7500 0.7681
0.1173 0.2500 0.4956
0.3827 0.7500 0.9956
0.6173 0.2500 0.0044
0.8827 0.7500 0.5044
0.0859 0.2500 0.8462
0.4141 0.7500 0.3462
0.5859 0.2500 0.6538
0.9141 0.7500 0.1538
```

Top 6 peaks for 2θ from 5° to 70°, sorted by position:
2theta, I_rel
25.74, 43.7
29.75, 100.0
31.41, 33.4
33.23, 34.4
42.03, 22.6
43.82, 27.5

=====

Entry 11:
Starting from a cell relaxed with GGA-PBE, the X-ray diffraction stick pattern of Sr2CuAg2Pd5 was simulated for Cu Kα (weighted mean of Kα1 and Kα2).
Lines closer than 0.1° are merged.

Crystal structure
```
Sr2CuAg2Pd5
1.0
10.0918 0.0000 0.0000
0.0000 10.0918 0.0000
0.0000 0.0000 3.9096
Sr Cu Ag Pd
4 2 4 10
direct
0.1732 0.3268 0.0000
0.3268 0.8268 0.0000
0.6732 0.1732 0.0000
0.8268 0.6732 0.0000
0.0000 0.0000 0.0000
0.5000 0.5000 0.0000
0.1289 0.6289 0.0000
0.3711 0.1289 0.0000
0.6289 0.8711 0.0000
0.8711 0.3711 0.0000
0.0000 0.5000 0.5000
0.0529 0.8109 0.5000
0.1891 0.0529 0.5000
0.3109 0.5529 0.5000
0.4471 0.3109 0.5000
0.5000 0.0000 0.5000
0.5529 0.6891 0.5000
0.6891 0.4471 0.5000
0.8109 0.9471 0.5000
0.9471 0.1891 0.5000
```

Top 6 peaks for 2θ from 5° to 70°, sorted by position:
2theta, I_rel
36.34, 100.0
36.72, 28.3
37.82, 25.6
39.60, 34.7
46.45, 23.6
60.63, 21.5